Structure and theoretical powder diffractogram of KNb3O8 (a cell relaxed with PBE; λ = 1.5418 Å (Cu Kα)).
Intensities are scaled so that the largest is 100.

Top 6 peaks for 15 to 90 degrees two-theta, sorted by position:
2θ (°)	I_rel
23.5	23
25.5	100
26.2	33
28.0	41
30.7	28
54.5	27

Structure:
a = 11.046 Å, b = 11.046 Å, c = 9.105 Å
α = 90.00°, β = 90.00°, γ = 159.95°
Fractional coordinates of all 24 atoms:
K1 0.017 0.983 0.750
K2 0.983 0.017 0.250
Nb1 0.243 0.757 0.250
Nb2 0.368 0.632 0.559
Nb3 0.368 0.632 0.941
Nb4 0.632 0.368 0.059
Nb5 0.632 0.368 0.441
Nb6 0.757 0.243 0.750
O1 0.157 0.843 0.092
O2 0.157 0.843 0.408
O3 0.285 0.715 0.750
O4 0.296 0.704 0.094
O5 0.296 0.704 0.406
O6 0.413 0.587 0.750
O7 0.431 0.569 0.064
O8 0.431 0.569 0.436
O9 0.569 0.431 0.564
O10 0.569 0.431 0.936
O11 0.587 0.413 0.250
O12 0.704 0.296 0.594
O13 0.704 0.296 0.906
O14 0.715 0.285 0.250
O15 0.843 0.157 0.592
O16 0.843 0.157 0.908